This entry pairs a crystal structure of PrNiSnAsPd with its simulated X-ray diffraction stick pattern. Radiation: Cu Kα, 1.54184 Å. Structure: a DFT-relaxed cell (PBE, OQMD).

Principal peaks in the range 2θ = 5–70°, low angle first:
| hkl | d [Å] | intensity |
| --- | --- | --- |
| 1 0 3 | 2.700 | 30 |
| 1 1 2 | 2.644 | 100 |
| 2 0 0 | 2.177 | 49 |
| 1 1 4 | 1.978 | 15 |
| 1 0 5 | 1.866 | 16 |
| 2 1 3 | 1.695 | 15 |
| 2 0 4 | 1.664 | 9 |
| 2 2 0 | 1.539 | 16 |
| 1 1 6 | 1.502 | 9 |
| 2 1 5 | 1.417 | 12 |

abc: 4.3534 4.3534 10.3260
angles: 90.00 90.00 90.00
Fractional coordinates of all 10 atoms:
1 Pr 0.2500 0.2500 0.2358
2 Pr 0.7500 0.7500 0.7642
3 Ni 0.2500 0.2500 0.6373
4 Ni 0.7500 0.7500 0.3627
5 Sn 0.2500 0.7500 0.5000
6 Sn 0.7500 0.2500 0.5000
7 As 0.2500 0.2500 0.8606
8 As 0.7500 0.7500 0.1394
9 Pd 0.2500 0.7500 0.0000
10 Pd 0.7500 0.2500 0.0000

This entry pairs a crystal structure of PrNiSnAsPd with its simulated X-ray diffraction stick pattern. Radiation: Cu Kα, 1.54184 Å. Structure: a DFT-relaxed cell (PBE, OQMD).

Principal peaks in the range 2θ = 5–70°, low angle first:
| hkl | d [Å] | intensity |
| --- | --- | --- |
| 1 0 2 | 3.327 | 9 |
| 1 1 0 | 3.146 | 9 |
| 1 1 2 | 2.667 | 100 |
| 2 0 0 | 2.224 | 48 |
| 1 0 4 | 2.183 | 13 |
| 1 1 4 | 1.960 | 11 |
| 1 0 5 | 1.828 | 10 |
| 2 1 3 | 1.710 | 17 |
| 2 2 0 | 1.573 | 16 |
| 3 1 2 | 1.355 | 20 |

abc: 4.4490 4.4490 10.0238
angles: 90.00 90.00 90.00
Fractional coordinates of all 10 atoms:
1 Pr 0.2500 0.2500 0.2281
2 Pr 0.7500 0.7500 0.7719
3 Ni 0.2500 0.2500 0.9057
4 Ni 0.7500 0.7500 0.0943
5 Sn 0.2500 0.2500 0.6508
6 Sn 0.7500 0.7500 0.3492
7 As 0.2500 0.7500 0.0000
8 As 0.7500 0.2500 0.0000
9 Pd 0.2500 0.7500 0.5000
10 Pd 0.7500 0.2500 0.5000